Record 1
ZrSc: computed X-ray powder pattern (copper Kα), based on a GGA-PBE-relaxed structure.

Main lines, low angle first (2θ from 10° to 90°):
d (Å), I_rel
4.584, 13
2.619, 100
2.292, 17
2.256, 32
1.608, 21
1.363, 23

```
2
Lattice="3.1912 0.0000 0.0000 0.0000 3.1912 0.0000 0.0000 0.0000 4.5838" Properties=species:S:1:pos:R:3 pbc="T T T"
Zr 0.0000 0.0000 0.0000
Sc 1.5956 1.5956 2.2919
```

Record 2
ZrSc: computed X-ray powder pattern (copper Kα), based on a GGA-PBE-relaxed structure.

Main lines, low angle first (2θ from 10° to 90°):
d (Å), I_rel
2.764, 52
2.595, 43
2.560, 100
2.375, 75
1.622, 29
1.375, 32

```
8
Lattice="5.6162 0.0000 0.0000 0.0000 3.2442 0.0000 -1.8668 0.0000 10.3804" Properties=species:S:1:pos:R:3 pbc="T T T"
Zr 0.9377 0.0000 1.2983
Zr 0.0036 1.6221 9.0821
Zr 3.7458 1.6221 1.2983
Zr 2.8117 0.0000 9.0821
Sc 0.0006 1.6221 3.8421
Sc 0.9406 0.0000 6.5383
Sc 2.8087 0.0000 3.8421
Sc 3.7487 1.6221 6.5383
```

Record 3
Zr3Sc4: computed X-ray powder pattern (copper Kα), based on a GGA-PBE-relaxed structure.

Main lines, low angle first (2θ from 10° to 90°):
d (Å), I_rel
5.844, 17
2.659, 61
2.497, 100
1.880, 21
1.502, 38
1.414, 14

```
14
Lattice="3.7607 0.0000 0.0000 0.0000 3.7607 0.0000 0.0000 0.0000 23.3754" Properties=species:S:1:pos:R:3 pbc="T T T"
Zr 0.0000 0.0000 0.0000
Zr 0.0000 0.0000 6.5721
Zr 0.0000 0.0000 16.8033
Zr 1.8803 1.8803 5.1156
Zr 1.8803 1.8803 11.6877
Zr 1.8803 1.8803 18.2599
Sc 0.0000 0.0000 3.4205
Sc 0.0000 0.0000 10.0554
Sc 0.0000 0.0000 13.3200
Sc 0.0000 0.0000 19.9550
Sc 1.8803 1.8803 1.6323
Sc 1.8803 1.8803 8.2673
Sc 1.8803 1.8803 15.1082
Sc 1.8803 1.8803 21.7431
```

Record 4
ZrSc2: computed X-ray powder pattern (copper Kα), based on a GGA-PBE-relaxed structure.

Main lines, low angle first (2θ from 10° to 90°):
d (Å), I_rel
7.937, 35
2.646, 31
2.636, 100
2.285, 67
1.618, 20
1.377, 34

```
3
Lattice="3.2265 0.0000 0.0000 -1.6133 2.7943 0.0000 0.0000 0.0000 7.9375" Properties=species:S:1:pos:R:3 pbc="T T T"
Zr 0.0000 0.0000 0.0000
Sc 0.0000 1.8628 5.3617
Sc 1.6133 0.9314 2.5757
```

Record 5
ZrSc: computed X-ray powder pattern (copper Kα), based on a GGA-PBE-relaxed structure.

Main lines, low angle first (2θ from 10° to 90°):
d (Å), I_rel
3.812, 20
2.807, 27
2.570, 39
2.487, 55
2.463, 100
1.379, 20

```
4
Lattice="5.1397 0.0000 0.0000 0.0000 3.2278 0.0000 0.0000 0.0000 5.6837" Properties=species:S:1:pos:R:3 pbc="T T T"
Zr 1.2849 0.0000 0.9294
Zr 3.8548 0.0000 4.7543
Sc 1.2849 1.6139 3.7645
Sc 3.8548 1.6139 1.9191
```

Record 6
ZrSc2: computed X-ray powder pattern (copper Kα), based on a GGA-PBE-relaxed structure.

Main lines, low angle first (2θ from 10° to 90°):
d (Å), I_rel
4.369, 32
2.961, 30
2.591, 47
2.522, 100
2.451, 35
2.138, 34

```
9
Lattice="8.7379 0.0000 0.0000 -4.3689 7.5672 0.0000 0.0000 0.0000 3.2182" Properties=species:S:1:pos:R:3 pbc="T T T"
Zr 0.0000 0.0000 0.0000
Zr 0.0000 5.0448 1.6091
Zr 4.3690 2.5224 1.6091
Sc -1.3421 2.3246 1.6091
Sc -2.8144 4.8747 0.0000
Sc 2.6842 0.0000 1.6091
Sc 1.5545 2.6925 0.0000
Sc 5.6288 0.0000 0.0000
Sc 3.0268 5.2426 1.6091
```

Record 7
ZrSc: computed X-ray powder pattern (copper Kα), based on a GGA-PBE-relaxed structure.

Main lines, low angle first (2θ from 10° to 90°):
d (Å), I_rel
5.876, 42
3.075, 43
2.629, 63
2.542, 100
2.533, 52
1.770, 44

```
8
Lattice="3.1861 0.0000 0.0000 0.0000 11.7519 0.0000 0.0000 0.0000 5.0662" Properties=species:S:1:pos:R:3 pbc="T T T"
Zr 0.0000 0.6483 1.2665
Zr 0.0000 11.1036 3.7996
Zr 1.5930 5.2277 3.7996
Zr 1.5930 6.5242 1.2665
Sc 0.0000 3.7839 1.2665
Sc 0.0000 7.9680 3.7996
Sc 1.5930 2.0921 3.7996
Sc 1.5930 9.6598 1.2665
```

Record 8
Zr2Sc3: computed X-ray powder pattern (copper Kα), based on a GGA-PBE-relaxed structure.

Main lines, low angle first (2θ from 10° to 90°):
d (Å), I_rel
6.629, 22
2.652, 34
2.627, 100
2.280, 65
1.618, 21
1.374, 23

```
15
Lattice="3.2131 0.0000 0.0000 -1.6065 2.7826 0.0000 0.0000 0.0000 39.7767" Properties=species:S:1:pos:R:3 pbc="T T T"
Zr 0.0000 0.0000 3.9694
Zr 0.0000 0.0000 35.8073
Zr 0.0000 1.8551 22.5484
Zr 0.0000 1.8551 30.4872
Zr 1.6065 0.9275 9.2895
Zr 1.6065 0.9275 17.2283
Sc 0.0000 0.0000 11.8449
Sc 0.0000 0.0000 19.8884
Sc 0.0000 0.0000 27.9318
Sc 0.0000 1.8551 6.6295
Sc 0.0000 1.8551 14.6729
Sc 0.0000 1.8551 38.3627
Sc 1.6065 0.9275 1.4140
Sc 1.6065 0.9275 25.1038
Sc 1.6065 0.9275 33.1472
```

Record 9
Zr6Sc: computed X-ray powder pattern (copper Kα), based on a GGA-PBE-relaxed structure.

Main lines, low angle first (2θ from 10° to 90°):
d (Å), I_rel
2.807, 100
2.587, 62
2.531, 74
2.486, 40
2.316, 83
2.194, 52

```
14
Lattice="5.8528 0.0000 0.0000 0.0000 5.8528 0.0000 0.0000 0.0000 9.9429" Properties=species:S:1:pos:R:3 pbc="T T T"
Zr 0.4366 3.3630 1.4563
Zr 0.4366 5.4162 8.4866
Zr 1.4632 1.4632 3.6421
Zr 1.4632 1.4632 6.3009
Zr 2.4898 3.3630 8.4866
Zr 2.4898 5.4162 1.4563
Zr 3.3630 0.4366 8.4866
Zr 3.3630 2.4898 1.4563
Zr 4.3896 4.3896 3.6421
Zr 4.3896 4.3896 6.3009
Zr 5.4162 0.4366 1.4563
Zr 5.4162 2.4898 8.4866
Sc 1.4632 4.3896 4.9715
Sc 4.3896 1.4632 4.9715
```

Record 10
Zr5Sc3: computed X-ray powder pattern (copper Kα), based on a GGA-PBE-relaxed structure.

Main lines, low angle first (2θ from 10° to 90°):
d (Å), I_rel
2.620, 100
2.286, 17
2.260, 32
1.607, 21
1.375, 12
1.364, 24

```
16
Lattice="9.0484 0.0000 0.0000 0.0000 9.1425 0.0000 0.0000 0.0000 4.5165" Properties=species:S:1:pos:R:3 pbc="T T T"
Zr 0.0000 0.0000 0.0000
Zr 0.0000 2.2349 2.2583
Zr 0.0000 6.9075 2.2583
Zr 2.2621 2.2856 0.0000
Zr 2.2621 6.8568 0.0000
Zr 4.5242 2.3363 2.2583
Zr 4.5242 4.5712 0.0000
Zr 4.5242 6.8062 2.2583
Zr 6.7863 2.2856 0.0000
Zr 6.7863 6.8568 0.0000
Sc 0.0000 4.5712 0.0000
Sc 2.2540 0.0000 2.2583
Sc 2.2702 4.5712 2.2583
Sc 4.5242 0.0000 0.0000
Sc 6.7782 4.5712 2.2583
Sc 6.7944 0.0000 2.2583
```

Record 11
Se: computed X-ray powder pattern (copper Kα), based on a GGA-PBE-relaxed structure.

Main lines, low angle first (2θ from 10° to 90°):
d (Å), I_rel
4.020, 58
3.113, 100
2.760, 56
2.276, 28
2.065, 61
1.495, 30

```
4
Lattice="4.5601 0.0000 0.0000 0.0000 8.5187 0.0000 0.0000 0.0000 2.7602" Properties=species:S:1:pos:R:3 pbc="T T T"
Se 0.6898 0.9626 0.0034
Se 1.5903 5.2220 2.7568
Se 2.9699 3.2967 2.7568
Se 3.8703 7.5561 0.0034
```

Record 12
Se: computed X-ray powder pattern (copper Kα), based on a GGA-PBE-relaxed structure.

Main lines, low angle first (2θ from 10° to 90°):
d (Å), I_rel
5.809, 45
4.419, 43
3.548, 73
3.502, 100
2.529, 34
2.457, 31

```
10
Lattice="6.7659 0.0000 0.0000 3.1849 6.2720 0.0000 1.3985 -0.0408 7.8545" Properties=species:S:1:pos:R:3 pbc="T T T"
Se 1.1802 1.3880 0.2079
Se 3.7533 3.8437 2.8749
Se 4.5517 3.1653 6.7271
Se 3.4208 1.7389 3.5738
Se 2.6682 0.2229 1.8027
Se 8.6810 6.0083 6.0517
Se 7.9284 4.4923 4.2806
Se 6.7975 3.0659 1.1273
Se 7.5960 2.3875 4.9796
Se 10.1690 4.8432 7.6465
```

Record 13
Se: computed X-ray powder pattern (copper Kα), based on a GGA-PBE-relaxed structure.

Main lines, low angle first (2θ from 10° to 90°):
d (Å), I_rel
3.332, 100
3.288, 47
2.574, 58
2.198, 22
1.981, 29
1.840, 28

```
8
Lattice="4.3953 0.0000 0.0000 0.0000 7.4422 0.0000 0.0000 0.0000 7.0222" Properties=species:S:1:pos:R:3 pbc="T T T"
Se 0.0000 0.8861 0.6983
Se 0.0000 2.8350 4.2094
Se 0.0000 4.6072 2.8128
Se 0.0000 6.5561 6.3239
Se 2.1977 0.8861 2.8128
Se 2.1977 2.8350 6.3239
Se 2.1977 4.6072 0.6983
Se 2.1977 6.5561 4.2094
```

Record 14
Se: computed X-ray powder pattern (copper Kα), based on a GGA-PBE-relaxed structure.

Main lines, low angle first (2θ from 10° to 90°):
d (Å), I_rel
4.780, 77
3.021, 100
2.193, 32
2.083, 33
1.911, 21
1.715, 23

```
6
Lattice="5.5120 3.1823 1.8406 -5.5120 3.1823 1.8406 0.0000 -6.3647 1.8406" Properties=species:S:1:pos:R:3 pbc="T T T"
Se -3.4076 -2.7875 3.1357
Se -4.1178 1.5574 2.3861
Se 0.7102 -4.3448 2.3861
Se -0.7102 4.3448 3.1357
Se 4.1178 -1.5574 3.1357
Se 3.4076 2.7875 2.3861
```

Record 15
Se: computed X-ray powder pattern (copper Kα), based on a GGA-PBE-relaxed structure.

Main lines, low angle first (2θ from 10° to 90°):
d (Å), I_rel
4.833, 38
3.654, 37
3.473, 100
3.441, 31
2.826, 22
1.850, 28

```
4
Lattice="5.2207 0.0000 0.0000 -0.1909 5.4430 0.0000 -0.2072 -2.5253 4.8407" Properties=species:S:1:pos:R:3 pbc="T T T"
Se 0.0000 0.0000 0.0000
Se 0.5527 1.8341 3.0535
Se 2.2195 3.3902 2.1094
Se 3.3473 -0.9682 3.8967
```